Computed powder X-ray diffraction pattern of Cs2ZrBrCl6 for Cu Kα, from a PBE-relaxed structure.

Structure:
```
data_Cs2ZrBrCl6
_chemical_formula_sum 'Cs2 Zr1 Br1 Cl6'
_cell_length_a 6.3333
_cell_length_b 7.4440
_cell_length_c 8.9386
_cell_angle_alpha 108.17
_cell_angle_beta 110.47
_cell_angle_gamma 94.26
_space_group_name_H-M_alt 'P 1'
_space_group_IT_number 1
_space_group_name_Hall 'P 1'
loop_
_atom_site_label
_atom_site_fract_x
_atom_site_fract_y
_atom_site_fract_z
Cs1 0.0000 0.0000 0.0000
Cs2 0.1828 0.7395 0.4565
Zr1 0.5906 0.3709 0.7285
Br1 0.5916 0.8723 0.2320
Cl1 0.2339 0.2496 0.4616
Cl2 0.4241 0.6452 0.8544
Cl3 0.4341 0.1617 0.8508
Cl4 0.7489 0.5779 0.6053
Cl5 0.7599 0.0957 0.6028
Cl6 0.9493 0.4894 0.9942
```

Peak list (8 most intense, 2θ = 10–80°, in order of falling intensity)
| 2theta | intensity | hkl |
| --- | --- | --- |
| 21.89 | 100 | 1 -1 1 |
| 28.23 | 82 | 2 0 -1 |
| 32.27 | 65 | 1 0 2 |
| 19.98 | 61 | 0 1 1 |
| 29.77 | 52 | 1 2 -2 |
| 15.01 | 47 | 1 0 -1 |
| 27.15 | 35 | 1 -2 0 |
| 19.13 | 30 | 1 1 -1 |